# 1
Starting from a structure optimized by DFT (GGA-PBE), the X-ray diffraction stick pattern of AcNdSi2Pt2 was computed for Cu Ka.

Top 10 peaks for 2θ from 15° to 90°, in order of rising 2θ:
2theta	intensity
26.36	40
31.76	100
39.28	13
40.87	15
42.80	42
54.26	22
60.66	29
68.72	17
71.47	20
78.38	7

Structural model:
```
AcNdSi2Pt2
1.0
4.226 0.000 0.000
-2.113 3.660 0.000
0.000 0.000 8.832
Ac Nd Si Pt
1 1 2 2
direct
0.000 0.000 0.000 Ac
0.000 0.000 0.500 Nd
0.333 0.667 0.264 Si
0.667 0.333 0.736 Si
0.333 0.667 0.739 Pt
0.667 0.333 0.261 Pt
```


# 2
Starting from a structure optimized by DFT (GGA-PBE), the X-ray diffraction stick pattern of BaU2HgO7 was computed for Cu Ka.

Top 10 peaks for 2θ from 15° to 90°, in order of rising 2θ:
2theta	intensity
21.77	23
22.02	23
25.26	100
29.12	52
30.24	16
36.18	16
41.65	28
49.33	34
54.42	16
80.48	15

Structural model:
```
BaU2HgO7
1.0
4.337 0.000 0.000
0.000 4.337 0.000
0.000 0.000 12.111
Ba U Hg O
1 2 1 7
direct
0.000 0.000 0.000 Ba
0.500 0.500 0.182 U
0.500 0.500 0.818 U
0.000 0.000 0.500 Hg
0.000 0.500 0.155 O
0.000 0.500 0.845 O
0.500 0.000 0.155 O
0.500 0.000 0.845 O
0.500 0.500 0.000 O
0.500 0.500 0.333 O
0.500 0.500 0.667 O
```


# 3
Starting from a structure optimized by DFT (GGA-PBE), the X-ray diffraction stick pattern of CsCdP was computed for Cu Ka.

Top 10 peaks for 2θ from 15° to 90°, in order of rising 2θ:
2theta	intensity
16.65	52
19.52	52
23.65	64
23.86	66
27.96	59
28.07	59
29.18	100
30.65	57
30.91	55
33.67	60

Structural model:
```
CsCdP
1.0
5.460 0.000 0.000
1.396 6.121 0.000
0.030 0.066 6.600
Cs Cd P
2 2 2
direct
0.000 0.000 0.000 Cs
0.499 0.995 0.500 Cs
0.001 0.498 0.288 Cd
0.004 0.501 0.712 Cd
0.357 0.404 0.000 P
0.647 0.595 0.000 P
```


# 4
Starting from a structure optimized by DFT (GGA-PBE), the X-ray diffraction stick pattern of PmNdHo2 was computed for Cu Ka.

Top 10 peaks for 2θ from 15° to 90°, in order of rising 2θ:
2theta	intensity
30.47	100
35.33	51
50.82	36
60.42	43
63.41	12
74.69	4
74.79	2
82.80	18
85.43	11
85.51	5

Structural model:
```
PmNdHo2
1.0
10.169 0.000 0.000
0.000 5.082 0.000
0.000 0.000 10.155
Pm Nd Ho
4 4 8
direct
0.125 0.250 0.248 Pm
0.375 0.750 0.748 Pm
0.625 0.250 0.252 Pm
0.875 0.750 0.752 Pm
0.127 0.750 0.500 Nd
0.373 0.250 0.000 Nd
0.627 0.750 0.000 Nd
0.873 0.250 0.500 Nd
0.123 0.750 0.000 Ho
0.125 0.250 0.752 Ho
0.375 0.750 0.252 Ho
0.377 0.250 0.500 Ho
0.623 0.750 0.500 Ho
0.625 0.250 0.748 Ho
0.875 0.750 0.248 Ho
0.877 0.250 0.000 Ho
```


# 5
Starting from a structure optimized by DFT (GGA-PBE), the X-ray diffraction stick pattern of Rb2LaIrO6 was computed for Cu Ka.

Top 10 peaks for 2θ from 15° to 90°, in order of rising 2θ:
2theta	intensity
17.76	5
20.53	19
29.20	100
41.77	30
46.98	8
51.77	40
60.55	18
68.62	19
76.26	6
83.66	22

Structural model:
```
Rb2LaIrO6
1.0
0.000 4.325 4.325
4.325 0.000 4.325
4.325 4.325 0.000
Rb La Ir O
2 1 1 6
direct
0.250 0.250 0.250 Rb
0.750 0.750 0.750 Rb
0.000 0.000 0.000 La
0.500 0.500 0.500 Ir
0.277 0.277 0.723 O
0.277 0.723 0.277 O
0.277 0.723 0.723 O
0.723 0.277 0.277 O
0.723 0.277 0.723 O
0.723 0.723 0.277 O
```


# 6
Starting from a structure optimized by DFT (GGA-PBE), the X-ray diffraction stick pattern of Ba2CaHg was computed for Cu Ka.

Top 10 peaks for 2θ from 15° to 90°, in order of rising 2θ:
2theta	intensity
15.87	48
27.69	16
28.58	100
28.81	29
29.16	28
37.80	19
41.45	22
50.91	20
57.25	12
67.72	14

Structural model:
```
Ba2CaHg
1.0
4.368 0.000 0.000
0.000 6.197 0.000
0.000 0.000 12.887
Ba Ca Hg
4 2 2
direct
0.000 0.000 0.205 Ba
0.000 0.000 0.795 Ba
0.500 0.500 0.295 Ba
0.500 0.500 0.705 Ba
0.000 0.500 0.000 Ca
0.500 0.000 0.500 Ca
0.000 0.500 0.500 Hg
0.500 0.000 0.000 Hg
```